Diffraction record for CaFeP2O7. The X-ray powder pattern is calculated, not measured: it uses the GGA+U geometry in Alexandria and Cu Kα.
Intensities are scaled so that the largest is 100.

Most intense lines, 10 to 90 degrees two-theta, in order of rising 2θ:
hkl 1 0 -1, 2θ 19.65, I = 15
hkl 0 0 2, 2θ 23.66, I = 14
hkl 1 2 0, 2θ 27.89, I = 46
hkl 1 -1 1, 2θ 28.20, I = 28
hkl 1 0 -2, 2θ 28.51, I = 100
hkl 0 2 0, 2θ 28.85, I = 23
hkl 2 0 0, 2θ 31.66, I = 30
hkl 2 0 2, 2θ 39.88, I = 13

Structure:
abc: 6.0022 6.6256 7.5973
angles: 81.92 87.26 70.35
Space group P-1 (No. 2)
One atom of each set of equivalent atoms:
Ca 0.1879 0.3334 0.3326 x2
Fe 0.2396 0.8655 0.8012 x2
P 0.2651 0.7926 0.3944 x2
P 0.3362 0.3329 0.8814 x2
O 0.1179 0.0151 0.2999 x2
O 0.1188 0.6472 0.4540 x2
O 0.1654 0.5682 0.8464 x2
O 0.2336 0.1699 0.8281 x2
O 0.4156 0.8113 0.5459 x2
O 0.4282 0.2807 0.0733 x2
O 0.4370 0.6655 0.2454 x2